# Eu2SiO4
Theoretical X-ray diffraction stick pattern, Cu Kα (λ = 1.5418 Å). Input: a DFT-relaxed cell (PBE, the Materials Project).

Principal peaks in the range 15 to 90 degrees two-theta, sorted by position:
- d 4.037, I 38
- d 3.290, I 61
- d 3.008, I 24
- d 2.982, I 24
- d 2.879, I 100
- d 2.839, I 77
- d 2.822, I 63
- d 2.305, I 29
- d 2.017, I 27
- d 1.634, I 49

Structure:
Cell lengths 7.1109, 5.6430, 9.8531 Å; angles 90.00, 90.00, 90.00 degrees
Element x y z (fractional)
Eu (0.9999, 0.2500, 0.1970)
Eu (0.0001, 0.7500, 0.8030)
Eu (0.1575, 0.2500, 0.5700)
Eu (0.3425, 0.7500, 0.0700)
Eu (0.4999, 0.2500, 0.3030)
Eu (0.5001, 0.7500, 0.6970)
Eu (0.6575, 0.2500, 0.9300)
Eu (0.8425, 0.7500, 0.4300)
Si (0.2200, 0.2500, 0.9186)
Si (0.2800, 0.7500, 0.4186)
Si (0.7200, 0.2500, 0.5814)
Si (0.7800, 0.7500, 0.0814)
O (0.0094, 0.7500, 0.0701)
O (0.1804, 0.7500, 0.5717)
O (0.2029, 0.5100, 0.3418)
O (0.2029, 0.9900, 0.3418)
O (0.2971, 0.0100, 0.8418)
O (0.2971, 0.4900, 0.8418)
O (0.3196, 0.2500, 0.0717)
O (0.4906, 0.2500, 0.5701)
O (0.5094, 0.7500, 0.4299)
O (0.6804, 0.7500, 0.9283)
O (0.7029, 0.5100, 0.1582)
O (0.7029, 0.9900, 0.1582)
O (0.7971, 0.0100, 0.6582)
O (0.7971, 0.4900, 0.6582)
O (0.8196, 0.2500, 0.4283)
O (0.9906, 0.2500, 0.9299)

# CrFe3Sb4
Theoretical X-ray diffraction stick pattern, Cu Kα (λ = 1.5418 Å). Input: a DFT-relaxed cell (PBE, the Materials Project).

Principal peaks in the range 15 to 90 degrees two-theta, sorted by position:
- d 2.878, I 100
- d 2.078, I 49
- d 1.995, I 50
- d 1.640, I 18
- d 1.550, I 13
- d 1.439, I 14
- d 1.267, I 15
- d 1.224, I 6
- d 1.167, I 14
- d 1.152, I 8

Structure:
Cell lengths 3.9901, 3.9901, 10.4040 Å; angles 90.00, 90.00, 120.00 degrees
Element x y z (fractional)
Cr (0.0000, 0.0000, 0.0000)
Fe (0.0000, 0.0000, 0.2604)
Fe (0.0000, 0.0000, 0.5000)
Fe (0.0000, 0.0000, 0.7396)
Sb (0.3333, 0.6667, 0.3759)
Sb (0.3333, 0.6667, 0.8598)
Sb (0.6667, 0.3333, 0.1402)
Sb (0.6667, 0.3333, 0.6241)

# La4As3
Theoretical X-ray diffraction stick pattern, Cu Kα (λ = 1.5418 Å). Input: a DFT-relaxed cell (PBE, the Materials Project).

Principal peaks in the range 15 to 90 degrees two-theta, sorted by position:
- d 3.764, I 9
- d 3.260, I 11
- d 2.915, I 100
- d 2.464, I 64
- d 1.882, I 19
- d 1.808, I 30
- d 1.496, I 23
- d 1.458, I 12
- d 1.423, I 14
- d 1.255, I 14

Structure:
Cell lengths 7.9844, 7.9844, 7.9844 Å; angles 109.47, 109.47, 109.47 degrees
Element x y z (fractional)
La (0.0000, 0.1372, 0.5000)
La (0.0000, 0.6372, 0.5000)
La (0.1372, 0.5000, 0.0000)
La (0.3628, 0.3628, 0.3628)
La (0.5000, 0.0000, 0.1372)
La (0.5000, 0.0000, 0.6372)
La (0.6372, 0.5000, 0.0000)
La (0.8628, 0.8628, 0.8628)
As (0.1250, 0.8750, 0.2500)
As (0.2500, 0.1250, 0.8750)
As (0.3750, 0.6250, 0.7500)
As (0.6250, 0.7500, 0.3750)
As (0.7500, 0.3750, 0.6250)
As (0.8750, 0.2500, 0.1250)

# HfZrZn2
Theoretical X-ray diffraction stick pattern, Cu Kα (λ = 1.5418 Å). Input: a DFT-relaxed cell (PBE, the Materials Project).

Principal peaks in the range 15 to 90 degrees two-theta, sorted by position:
- d 3.839, I 9
- d 3.325, I 12
- d 2.351, I 100
- d 2.005, I 5
- d 1.919, I 3
- d 1.662, I 17
- d 1.487, I 5
- d 1.357, I 34
- d 1.175, I 11
- d 1.108, I 3

Structure:
Cell lengths 4.7017, 4.7017, 4.7017 Å; angles 60.00, 60.00, 60.00 degrees
Element x y z (fractional)
Hf (0.0000, 0.0000, 0.0000)
Zr (0.5000, 0.5000, 0.5000)
Zn (0.2500, 0.2500, 0.2500)
Zn (0.7500, 0.7500, 0.7500)